Starting from the GGA-PBE geometry in Alexandria, the powder diffraction line list of Ba8SnIr2 was calculated for λ = 1.5418 Å (Cu Kα).

Largest 10 diffraction maxima, in order of falling intensity, 5° ≤ 2θ ≤ 70°:
Position (°2θ), Rel. int.
34.64, 100
24.01, 78
44.52, 64
33.77, 62
19.80, 60
17.12, 59
16.70, 59
27.08, 42
67.42, 23
61.53, 22

Structural model:
```
Ba8SnIr2
1.0
10.357 0.000 0.000
-5.178 8.969 0.000
0.000 0.000 6.585
Ba Sn Ir
8 1 2
Direct
0.171 0.345 0.250 Ba
0.174 0.829 0.250 Ba
0.333 0.667 0.757 Ba
0.345 0.174 0.750 Ba
0.655 0.826 0.250 Ba
0.667 0.333 0.243 Ba
0.826 0.171 0.750 Ba
0.829 0.655 0.750 Ba
0.000 0.000 0.500 Sn
0.333 0.667 0.291 Ir
0.667 0.333 0.709 Ir
```


Starting from the GGA-PBE geometry in Alexandria, the powder diffraction line list of Ba3Sn7Ir2 was calculated for λ = 1.5418 Å (Cu Kα).

Largest 10 diffraction maxima, in order of falling intensity, 5° ≤ 2θ ≤ 70°:
Position (°2θ), Rel. int.
29.22, 100
34.93, 57
35.46, 55
31.07, 49
50.63, 41
17.53, 38
42.69, 36
33.04, 31
47.44, 30
60.60, 30

Structural model:
```
Ba3Sn7Ir2
1.0
2.569 -14.393 0.000
2.569 14.393 0.000
0.000 0.000 5.063
Ba Sn Ir
3 7 2
Direct
0.000 0.000 0.000 Ba
0.202 0.798 0.000 Ba
0.798 0.202 0.000 Ba
0.114 0.886 0.500 Sn
0.308 0.692 0.500 Sn
0.386 0.614 0.000 Sn
0.500 0.500 0.500 Sn
0.614 0.386 0.000 Sn
0.692 0.308 0.500 Sn
0.886 0.114 0.500 Sn
0.414 0.586 0.500 Ir
0.586 0.414 0.500 Ir
```


Starting from the GGA-PBE geometry in Alexandria, the powder diffraction line list of Ba3Sr3Ir2 was calculated for λ = 1.5418 Å (Cu Kα).

Largest 10 diffraction maxima, in order of falling intensity, 5° ≤ 2θ ≤ 70°:
Position (°2θ), Rel. int.
15.34, 100
34.55, 36
34.89, 33
30.96, 32
24.45, 25
24.27, 22
38.24, 19
29.06, 17
46.05, 11
45.53, 11

Structural model:
```
Ba3Sr3Ir2
1.0
8.121 4.689 6.753
-8.121 4.689 6.753
0.000 -9.378 6.753
Ba Sr Ir
12 12 8
Direct
0.003 0.176 0.315 Ba
0.176 0.315 0.003 Ba
0.185 0.508 0.680 Ba
0.315 0.003 0.176 Ba
0.320 0.815 0.492 Ba
0.492 0.320 0.815 Ba
0.508 0.680 0.185 Ba
0.680 0.185 0.508 Ba
0.685 0.997 0.824 Ba
0.815 0.492 0.320 Ba
0.824 0.685 0.997 Ba
0.997 0.824 0.685 Ba
0.005 0.799 0.291 Sr
0.201 0.709 0.995 Sr
0.209 0.503 0.302 Sr
0.291 0.005 0.799 Sr
0.302 0.209 0.503 Sr
0.497 0.698 0.791 Sr
0.503 0.302 0.209 Sr
0.698 0.791 0.497 Sr
0.709 0.995 0.201 Sr
0.791 0.497 0.698 Sr
0.799 0.291 0.005 Sr
0.995 0.201 0.709 Sr
0.244 0.258 0.752 Ir
0.248 0.756 0.742 Ir
0.250 0.250 0.250 Ir
0.258 0.752 0.244 Ir
0.742 0.248 0.756 Ir
0.750 0.750 0.750 Ir
0.752 0.244 0.258 Ir
0.756 0.742 0.248 Ir
```


Starting from the GGA-PBE geometry in Alexandria, the powder diffraction line list of BaSr14Ir was calculated for λ = 1.5418 Å (Cu Kα).

Largest 10 diffraction maxima, in order of falling intensity, 5° ≤ 2θ ≤ 70°:
Position (°2θ), Rel. int.
26.35, 100
7.91, 24
26.64, 22
32.54, 20
46.86, 18
26.83, 17
32.05, 15
32.34, 13
13.08, 11
10.40, 11

Structural model:
```
BaSr14Ir
1.0
11.170 0.000 0.000
0.000 5.507 6.691
0.000 -5.507 6.691
Ba Sr Ir
1 14 1
Direct
0.000 0.000 0.000 Ba
0.000 0.499 0.988 Sr
0.000 0.988 0.499 Sr
0.185 0.325 0.684 Sr
0.185 0.684 0.325 Sr
0.228 0.759 0.759 Sr
0.259 0.224 0.224 Sr
0.500 0.475 0.475 Sr
0.500 0.498 0.968 Sr
0.500 0.968 0.498 Sr
0.500 0.989 0.989 Sr
0.741 0.224 0.224 Sr
0.772 0.759 0.759 Sr
0.815 0.325 0.684 Sr
0.815 0.684 0.325 Sr
0.000 0.623 0.623 Ir
```